Structure and calculated powder X-ray diffraction pattern of CaLa2NdSm5 (a crystal structure in Alexandria, relaxed with GGA-PBE; copper Kα).
Intensities are scaled so that the largest is 100.

Structure:
a b c (Å): 8.797 8.797 16.474
angles (deg): 90.00 90.00 90.00
Space group I4/mcm (No. 140)
Unique sites:
Ca  0.000  0.500  0.250
La  0.119  0.381  0.000
Nd  0.000  0.000  0.250
Sm  0.000  0.000  0.000
Sm  0.218  0.282  0.361

Largest 10 diffraction maxima, sorted by position, 15° ≤ 2θ ≤ 90°:
(2 1 3), 3.198 Å, 2θ = 27.9°, intensity 45
(2 2 0), 3.110 Å, 2θ = 28.7°, intensity 51
(2 0 4), 3.006 Å, 2θ = 29.7°, intensity 100
(3 1 0), 2.782 Å, 2θ = 32.2°, intensity 21
(2 1 5), 2.526 Å, 2θ = 35.5°, intensity 11
(3 2 1), 2.413 Å, 2θ = 37.3°, intensity 16
(3 1 4), 2.305 Å, 2θ = 39.1°, intensity 12
(0 0 8), 2.059 Å, 2θ = 44.0°, intensity 15
(4 2 4), 1.775 Å, 2θ = 51.5°, intensity 25
(2 2 8), 1.717 Å, 2θ = 53.4°, intensity 14

Structure and calculated powder X-ray diffraction pattern of CaLa2Nd5Sm (a crystal structure in Alexandria, relaxed with GGA-PBE; copper Kα).
Intensities are scaled so that the largest is 100.

Structure:
a b c (Å): 8.782 8.782 16.869
angles (deg): 90.00 90.00 90.00
Space group I4/mcm (No. 140)
Unique sites:
Ca  0.000  0.500  0.250
La  0.120  0.380  0.000
Nd  0.000  0.000  0.000
Nd  0.221  0.279  0.359
Sm  0.000  0.000  0.250

Largest 10 diffraction maxima, sorted by position, 15° ≤ 2θ ≤ 90°:
(2 1 3), 3.220 Å, 2θ = 27.7°, intensity 42
(2 2 0), 3.105 Å, 2θ = 28.8°, intensity 52
(2 0 4), 3.042 Å, 2θ = 29.4°, intensity 100
(3 1 0), 2.777 Å, 2θ = 32.2°, intensity 20
(3 2 1), 2.411 Å, 2θ = 37.3°, intensity 15
(3 1 4), 2.319 Å, 2θ = 38.8°, intensity 14
(0 0 8), 2.110 Å, 2θ = 42.9°, intensity 19
(4 2 4), 1.780 Å, 2θ = 51.3°, intensity 28
(2 2 8), 1.745 Å, 2θ = 52.4°, intensity 15
(5 1 4), 1.595 Å, 2θ = 57.8°, intensity 16

Structure and calculated powder X-ray diffraction pattern of CaLa2Nd2Sm2 (a crystal structure in Alexandria, relaxed with GGA-PBE; copper Kα).
Intensities are scaled so that the largest is 100.

Structure:
a b c (Å): 11.734 5.279 8.257
angles (deg): 90.00 98.63 90.00
Space group C2/m (No. 12)
Unique sites:
Ca  0.000  0.000  0.000
La  0.144  0.000  0.433
Nd  0.217  0.500  0.145
Sm  0.075  0.500  0.707

Largest 10 diffraction maxima, sorted by position, 15° ≤ 2θ ≤ 90°:
(3 1 -1), 3.039 Å, 2θ = 29.4°, intensity 100
(1 1 2), 3.020 Å, 2θ = 29.6°, intensity 98
(0 2 0), 2.639 Å, 2θ = 34.0°, intensity 36
(4 0 1), 2.616 Å, 2θ = 34.3°, intensity 66
(4 2 1), 1.858 Å, 2θ = 49.0°, intensity 60
(3 3 -1), 1.590 Å, 2θ = 58.0°, intensity 15
(1 3 2), 1.588 Å, 2θ = 58.1°, intensity 14
(5 1 -4), 1.584 Å, 2θ = 58.2°, intensity 14
(7 1 0), 1.581 Å, 2θ = 58.4°, intensity 14
(5 1 3), 1.573 Å, 2θ = 58.7°, intensity 14

Structure and calculated powder X-ray diffraction pattern of CaLa2Tb2Nd2 (a crystal structure in Alexandria, relaxed with GGA-PBE; copper Kα).
Intensities are scaled so that the largest is 100.

Structure:
a b c (Å): 11.661 5.246 8.230
angles (deg): 90.00 98.59 90.00
Space group C2/m (No. 12)
Unique sites:
Ca  0.000  0.000  0.000
La  0.144  0.000  0.432
Tb  0.075  0.500  0.707
Nd  0.217  0.500  0.145

Largest 10 diffraction maxima, sorted by position, 15° ≤ 2θ ≤ 90°:
(3 1 -1), 3.021 Å, 2θ = 29.6°, intensity 100
(1 1 2), 3.007 Å, 2θ = 29.7°, intensity 99
(0 2 0), 2.623 Å, 2θ = 34.2°, intensity 36
(2 0 -3), 2.609 Å, 2θ = 34.4°, intensity 33
(4 0 1), 2.598 Å, 2θ = 34.5°, intensity 33
(2 2 -3), 1.849 Å, 2θ = 49.3°, intensity 36
(4 2 1), 1.846 Å, 2θ = 49.4°, intensity 24
(1 3 2), 1.580 Å, 2θ = 58.4°, intensity 29
(7 1 0), 1.571 Å, 2θ = 58.8°, intensity 28
(7 3 0), 1.199 Å, 2θ = 80.0°, intensity 17

Structure and calculated powder X-ray diffraction pattern of CaLa2NdY2 (a crystal structure in Alexandria, relaxed with GGA-PBE; copper Kα).
Intensities are scaled so that the largest is 100.

Structure:
a b c (Å): 6.734 18.828 3.469
angles (deg): 90.00 90.00 90.00
Space group Pnnm (No. 58)
Unique sites:
Ca  0.000  0.000  0.000
La  0.206  0.191  0.000
Nd  0.000  0.500  0.000
Y  0.200  0.354  0.500

Largest 10 diffraction maxima, sorted by position, 15° ≤ 2θ ≤ 90°:
(2 2 0), 3.170 Å, 2θ = 28.1°, intensity 61
(0 6 0), 3.138 Å, 2θ = 28.4°, intensity 44
(0 3 1), 3.037 Å, 2θ = 29.4°, intensity 100
(1 6 0), 2.844 Å, 2θ = 31.5°, intensity 32
(2 4 0), 2.739 Å, 2θ = 32.7°, intensity 23
(1 4 1), 2.580 Å, 2θ = 34.8°, intensity 26
(2 1 1), 2.396 Å, 2θ = 37.5°, intensity 28
(2 5 1), 2.034 Å, 2θ = 44.6°, intensity 21
(1 9 1), 1.731 Å, 2θ = 52.9°, intensity 23
(3 8 1), 1.471 Å, 2θ = 63.2°, intensity 22

Structure and calculated powder X-ray diffraction pattern of Ca2LaNi2 (a crystal structure in Alexandria, relaxed with GGA-PBE; copper Kα).
Intensities are scaled so that the largest is 100.

Structure:
a b c (Å): 7.291 7.291 4.603
angles (deg): 90.00 90.00 90.00
Space group P4/mbm (No. 127)
Unique sites:
Ca  0.165  0.335  0.000
La  0.000  0.000  0.500
Ni  0.115  0.615  0.500

Largest 10 diffraction maxima, sorted by position, 15° ≤ 2θ ≤ 90°:
(0 0 1), 4.603 Å, 2θ = 19.3°, intensity 58
(2 0 0), 3.645 Å, 2θ = 24.4°, intensity 25
(1 1 1), 3.433 Å, 2θ = 26.0°, intensity 25
(2 0 1), 2.858 Å, 2θ = 31.3°, intensity 81
(2 1 1), 2.661 Å, 2θ = 33.7°, intensity 79
(2 2 0), 2.578 Å, 2θ = 34.8°, intensity 20
(0 0 2), 2.304 Å, 2θ = 39.1°, intensity 100
(3 1 1), 2.061 Å, 2θ = 43.9°, intensity 37
(3 1 2), 1.629 Å, 2θ = 56.5°, intensity 50
(5 1 1), 1.365 Å, 2θ = 68.7°, intensity 25